CsAuI4O12: simulated powder diffraction line list (Cu Kα X-rays), based on the PBE geometry in Alexandria.
Intensities are scaled so that the largest is 100.

Crystal structure
```
data_CsAuI4O12
_cell_length_a 14.239
_cell_length_b 6.010
_cell_length_c 8.463
_cell_angle_alpha 90.00
_cell_angle_beta 108.07
_cell_angle_gamma 90.00
_space_group_name_H-M_alt 'C 1 2 1'
_space_group_IT_number 5
_space_group_name_Hall 'C 2y'
loop_
_atom_site_label
_atom_site_fract_x
_atom_site_fract_y
_atom_site_fract_z
Cs1 0.000 0.000 0.000
Au1 0.000 0.199 0.500
I1 0.150 0.486 0.346
I2 0.183 0.421 0.834
O1 0.030 0.568 0.210
O2 0.099 0.178 0.729
O3 0.114 0.194 0.403
O4 0.155 0.629 0.538
O5 0.201 0.301 0.039
O6 0.205 0.826 0.202
```

Main lines, low angle first (2θ from 5° to 70°):
| two_theta | d (Å) | intensity | (hkl) |
| --- | --- | --- | --- |
| 16.14 | 5.493 | 55 | 1 1 0 |
| 18.38 | 4.828 | 47 | 1 1 -1 |
| 24.67 | 3.609 | 100 | 3 1 0 |
| 25.75 | 3.460 | 94 | 1 1 -2 |
| 28.73 | 3.108 | 43 | 4 0 -2 |
| 29.13 | 3.066 | 64 | 2 0 2 |


Cs5Au2IO: simulated powder diffraction line list (Cu Kα X-rays), based on the PBE geometry in Alexandria.
Intensities are scaled so that the largest is 100.

Crystal structure
```
data_Cs5Au2IO
_cell_length_a 5.863
_cell_length_b 8.538
_cell_length_c 17.391
_cell_angle_alpha 90.00
_cell_angle_beta 90.00
_cell_angle_gamma 90.00
_space_group_name_H-M_alt 'I m m m'
_space_group_IT_number 71
_space_group_name_Hall '-I 2 2'
loop_
_atom_site_label
_atom_site_fract_x
_atom_site_fract_y
_atom_site_fract_z
Cs1 0.000 0.000 0.000
Cs2 0.000 0.266 0.379
Au1 0.000 0.000 0.207
I1 0.000 0.500 0.000
O1 0.000 0.500 0.500
```

Main lines, low angle first (2θ from 5° to 70°):
| two_theta | d (Å) | intensity | (hkl) |
| --- | --- | --- | --- |
| 21.03 | 4.224 | 42 | 1 1 2 |
| 26.33 | 3.385 | 100 | 1 2 1 |
| 29.32 | 3.046 | 70 | 0 2 4 |
| 29.87 | 2.991 | 76 | 1 0 5 |
| 30.49 | 2.931 | 48 | 2 0 0 |
| 42.81 | 2.112 | 49 | 2 2 4 |


CsAuI4O12: simulated powder diffraction line list (Cu Kα X-rays), based on the PBE geometry in Alexandria.
Intensities are scaled so that the largest is 100.

Crystal structure
```
data_CsAuI4O12
_cell_length_a 7.968
_cell_length_b 8.151
_cell_length_c 11.223
_cell_angle_alpha 74.62
_cell_angle_beta 71.40
_cell_angle_gamma 83.76
_space_group_name_H-M_alt 'P -1'
_space_group_IT_number 2
_space_group_name_Hall '-P 1'
loop_
_atom_site_label
_atom_site_fract_x
_atom_site_fract_y
_atom_site_fract_z
Cs1 0.051 0.186 0.139
Au1 0.433 0.955 0.789
I1 0.238 0.789 0.467
I2 0.241 0.345 0.745
I3 0.279 0.283 0.411
I4 0.339 0.669 0.104
O1 0.046 0.411 0.859
O2 0.053 0.309 0.400
O3 0.141 0.320 0.624
O4 0.185 0.977 0.531
O5 0.221 0.110 0.844
O6 0.283 0.851 0.173
O7 0.306 0.764 0.936
O8 0.313 0.649 0.596
O9 0.337 0.508 0.337
O10 0.356 0.207 0.252
O11 0.422 0.344 0.937
O12 0.485 0.850 0.371
```

Main lines, low angle first (2θ from 5° to 70°):
| two_theta | d (Å) | intensity | (hkl) |
| --- | --- | --- | --- |
| 23.95 | 3.716 | 55 | 2 1 1 |
| 24.94 | 3.570 | 100 | 0 2 2 |
| 25.03 | 3.557 | 43 | 2 1 2 |
| 25.88 | 3.442 | 42 | 0 0 3 |
| 26.46 | 3.368 | 35 | 2 -1 0 |
| 27.94 | 3.194 | 38 | 1 1 -2 |


Cs2ScAuI6: simulated powder diffraction line list (Cu Kα X-rays), based on the PBE geometry in Alexandria.
Intensities are scaled so that the largest is 100.

Crystal structure
```
data_Cs2ScAuI6
_cell_length_a 8.317
_cell_length_b 8.361
_cell_length_c 8.539
_cell_angle_alpha 112.72
_cell_angle_beta 112.32
_cell_angle_gamma 102.37
_space_group_name_H-M_alt 'P -1'
_space_group_IT_number 2
_space_group_name_Hall '-P 1'
loop_
_atom_site_label
_atom_site_fract_x
_atom_site_fract_y
_atom_site_fract_z
Cs1 0.248 0.249 0.497
Sc1 0.500 0.000 0.000
Au1 0.000 0.500 0.000
I1 0.144 0.810 0.999
I2 0.286 0.786 0.571
I3 0.353 0.275 0.001
```

Main lines, low angle first (2θ from 5° to 70°):
| two_theta | d (Å) | intensity | (hkl) |
| --- | --- | --- | --- |
| 21.88 | 4.062 | 45 | 2 0 -1 |
| 22.55 | 3.943 | 34 | 1 0 1 |
| 25.49 | 3.494 | 83 | 0 2 0 |
| 26.37 | 3.380 | 100 | 0 0 2 |
| 27.46 | 3.249 | 40 | 2 -2 0 |
| 29.84 | 2.994 | 36 | 2 -1 1 |


Cs2TbAuI6: simulated powder diffraction line list (Cu Kα X-rays), based on the PBE geometry in Alexandria.
Intensities are scaled so that the largest is 100.

Crystal structure
```
data_Cs2TbAuI6
_cell_length_a 8.420
_cell_length_b 8.592
_cell_length_c 8.650
_cell_angle_alpha 113.29
_cell_angle_beta 112.60
_cell_angle_gamma 101.87
_space_group_name_H-M_alt 'P -1'
_space_group_IT_number 2
_space_group_name_Hall '-P 1'
loop_
_atom_site_label
_atom_site_fract_x
_atom_site_fract_y
_atom_site_fract_z
Cs1 0.249 0.249 0.498
Tb1 0.000 0.500 0.000
Au1 0.500 0.000 0.000
I1 0.194 0.857 0.000
I2 0.223 0.723 0.448
I3 0.284 0.341 0.000
```

Main lines, low angle first (2θ from 5° to 70°):
| two_theta | d (Å) | intensity | (hkl) |
| --- | --- | --- | --- |
| 13.03 | 6.795 | 37 | 0 0 1 |
| 21.13 | 4.205 | 67 | 0 2 -1 |
| 25.28 | 3.523 | 41 | 2 0 -2 |
| 26.23 | 3.398 | 100 | 0 0 2 |
| 27.01 | 3.302 | 47 | 2 -2 0 |
| 52.07 | 1.756 | 37 | 2 -4 3 |


CsIn3Au2: simulated powder diffraction line list (Cu Kα X-rays), based on the PBE geometry in Alexandria.
Intensities are scaled so that the largest is 100.

Crystal structure
```
data_CsIn3Au2
_cell_length_a 16.742
_cell_length_b 4.901
_cell_length_c 9.780
_cell_angle_alpha 90.00
_cell_angle_beta 106.41
_cell_angle_gamma 90.00
_space_group_name_H-M_alt 'C 1 2/m 1'
_space_group_IT_number 12
_space_group_name_Hall '-C 2y'
loop_
_atom_site_label
_atom_site_fract_x
_atom_site_fract_y
_atom_site_fract_z
Cs1 0.135 0.000 0.052
In1 0.012 0.000 0.347
In2 0.139 0.500 0.725
In3 0.178 0.500 0.423
Au1 0.019 0.500 0.220
Au2 0.155 0.000 0.588
```

Main lines, low angle first (2θ from 5° to 70°):
| two_theta | d (Å) | intensity | (hkl) |
| --- | --- | --- | --- |
| 9.43 | 9.381 | 59 | 0 0 1 |
| 24.55 | 3.626 | 52 | 2 0 2 |
| 25.74 | 3.461 | 100 | 1 1 -2 |
| 33.49 | 2.676 | 42 | 6 0 0 |
| 36.68 | 2.450 | 53 | 0 2 0 |
| 44.61 | 2.031 | 57 | 1 1 4 |


Which formula does entry 1 have?
CsAuI4O12